Entry 1:
The following is a computed powder X-ray diffraction pattern of MgAg2. It was derived from a PBE-relaxed structure, using Cu Kα X-rays.
Kinematic intensities with the Lorentz-polarization factor, no thermal factor.

Atomic structure:
Lattice parameters (Å, degrees): 7.6328 7.6328 4.7762 90.00 90.00 156.64
Fractional coordinates of all 6 atoms:
Mg (0.1079, 0.8921, 0.7500)
Mg (0.8921, 0.1079, 0.2500)
Ag (0.2253, 0.7747, 0.2500)
Ag (0.4426, 0.5574, 0.7500)
Ag (0.5574, 0.4426, 0.2500)
Ag (0.7747, 0.2253, 0.7500)

Main lines, low angle first (10 to 80 degrees two-theta):
Position (°2θ), I/Imax
22.1, 31
34.1, 19
37.7, 35
39.1, 100
40.8, 37
69.0, 17



Entry 2:
The following is a computed powder X-ray diffraction pattern of BaLiRu5O11. It was derived from a PBE-relaxed structure, using Cu Kα X-rays.
Kinematic intensities with the Lorentz-polarization factor, no thermal factor.

Atomic structure:
Lattice parameters (Å, degrees): 5.8986 5.8986 14.0156 90.00 90.00 120.00
Fractional coordinates of all 36 atoms:
Ba (0.3333, 0.6667, 0.2500)
Ba (0.6667, 0.3333, 0.7500)
Li (0.3333, 0.6667, 0.7500)
Li (0.6667, 0.3333, 0.2500)
Ru (0.0000, 0.0000, 0.1575)
Ru (0.0000, 0.0000, 0.3425)
Ru (0.0000, 0.0000, 0.6575)
Ru (0.0000, 0.0000, 0.8425)
Ru (0.0000, 0.5000, 0.0000)
Ru (0.0000, 0.5000, 0.5000)
Ru (0.5000, 0.0000, 0.0000)
Ru (0.5000, 0.0000, 0.5000)
Ru (0.5000, 0.5000, 0.0000)
Ru (0.5000, 0.5000, 0.5000)
O (0.1497, 0.2994, 0.7500)
O (0.1497, 0.8503, 0.7500)
O (0.1681, 0.3362, 0.0802)
O (0.1681, 0.3362, 0.4198)
O (0.1681, 0.8319, 0.0802)
O (0.1681, 0.8319, 0.4198)
O (0.2994, 0.1497, 0.2500)
O (0.3333, 0.6667, 0.5824)
O (0.3333, 0.6667, 0.9176)
O (0.3362, 0.1681, 0.5802)
O (0.3362, 0.1681, 0.9198)
O (0.6638, 0.8319, 0.0802)
O (0.6638, 0.8319, 0.4198)
O (0.6667, 0.3333, 0.0824)
O (0.6667, 0.3333, 0.4176)
O (0.7006, 0.8503, 0.7500)
O (0.8319, 0.1681, 0.5802)
O (0.8319, 0.1681, 0.9198)
O (0.8319, 0.6638, 0.5802)
O (0.8319, 0.6638, 0.9198)
O (0.8503, 0.1497, 0.2500)
O (0.8503, 0.7006, 0.2500)

Main lines, low angle first (10 to 80 degrees two-theta):
Position (°2θ), I/Imax
21.5, 51
30.9, 98
32.9, 89
35.1, 51
37.5, 54
53.1, 100



Entry 3:
The following is a computed powder X-ray diffraction pattern of KEuHf4O12. It was derived from a PBE-relaxed structure, using Cu Kα X-rays.
Kinematic intensities with the Lorentz-polarization factor, no thermal factor.

Atomic structure:
Lattice parameters (Å, degrees): 8.2028 5.7540 5.7540 89.68 90.00 90.00
Fractional coordinates of all 18 atoms:
K (0.0000, 0.0000, 0.0000)
Eu (0.5000, 0.4590, 0.4590)
Hf (0.2437, 0.4813, 0.9821)
Hf (0.2437, 0.9821, 0.4813)
Hf (0.7563, 0.4813, 0.9821)
Hf (0.7563, 0.9821, 0.4813)
O (0.0000, 0.5092, 0.9463)
O (0.0000, 0.9463, 0.5092)
O (0.2270, 0.2725, 0.2725)
O (0.2541, 0.1989, 0.7650)
O (0.2541, 0.7650, 0.1989)
O (0.3077, 0.6768, 0.6768)
O (0.5000, 0.0559, 0.4562)
O (0.5000, 0.4562, 0.0559)
O (0.6923, 0.6768, 0.6768)
O (0.7459, 0.1989, 0.7650)
O (0.7459, 0.7650, 0.1989)
O (0.7730, 0.2725, 0.2725)

Main lines, low angle first (10 to 80 degrees two-theta):
Position (°2θ), I/Imax
21.7, 29
21.8, 29
21.9, 28
31.0, 100
31.1, 50
55.1, 22



Entry 4:
The following is a computed powder X-ray diffraction pattern of SrZrS3. It was derived from a PBE-relaxed structure, using Cu Kα X-rays.
Kinematic intensities with the Lorentz-polarization factor, no thermal factor.

Atomic structure:
Lattice parameters (Å, degrees): 8.6062 3.8462 14.0677 90.00 90.00 90.00
Fractional coordinates of all 20 atoms:
Sr (0.0669, 0.2500, 0.1790)
Sr (0.4331, 0.7500, 0.6790)
Sr (0.5669, 0.2500, 0.3210)
Sr (0.9331, 0.7500, 0.8210)
Zr (0.1718, 0.7500, 0.4427)
Zr (0.3282, 0.2500, 0.9427)
Zr (0.6718, 0.7500, 0.0573)
Zr (0.8282, 0.2500, 0.5573)
S (0.0165, 0.7500, 0.6063)
S (0.1627, 0.7500, 0.0136)
S (0.2061, 0.2500, 0.7842)
S (0.2939, 0.7500, 0.2842)
S (0.3373, 0.2500, 0.5136)
S (0.4835, 0.2500, 0.1063)
S (0.5165, 0.7500, 0.8937)
S (0.6627, 0.7500, 0.4864)
S (0.7061, 0.2500, 0.7158)
S (0.7939, 0.7500, 0.2158)
S (0.8373, 0.2500, 0.9864)
S (0.9835, 0.2500, 0.3937)

Main lines, low angle first (10 to 80 degrees two-theta):
Position (°2θ), I/Imax
21.6, 59
26.2, 41
31.8, 79
33.8, 100
39.7, 42
47.2, 57



Entry 5:
The following is a computed powder X-ray diffraction pattern of SrEu3. It was derived from a PBE-relaxed structure, using Cu Kα X-rays.
Kinematic intensities with the Lorentz-polarization factor, no thermal factor.

Atomic structure:
Lattice parameters (Å, degrees): 5.7479 5.7479 5.7479 90.00 90.00 90.00
Fractional coordinates of all 4 atoms:
Sr (0.0000, 0.0000, 0.0000)
Eu (0.0000, 0.5000, 0.5000)
Eu (0.5000, 0.0000, 0.5000)
Eu (0.5000, 0.5000, 0.0000)

Main lines, low angle first (10 to 80 degrees two-theta):
Position (°2θ), I/Imax
26.9, 100
31.1, 52
44.6, 38
52.8, 46
71.6, 19
73.7, 17



Entry 6:
The following is a computed powder X-ray diffraction pattern of LiMg2. It was derived from a PBE-relaxed structure, using Cu Kα X-rays.
Kinematic intensities with the Lorentz-polarization factor, no thermal factor.

Atomic structure:
Lattice parameters (Å, degrees): 5.8858 5.8858 7.3770 104.70 104.70 31.58
Fractional coordinates of all 6 atoms:
Li (0.0277, 0.0277, 0.3047)
Li (0.9723, 0.9723, 0.6953)
Mg (0.3082, 0.3082, 0.3644)
Mg (0.3613, 0.3613, 0.9711)
Mg (0.6387, 0.6387, 0.0289)
Mg (0.6918, 0.6918, 0.6356)

Main lines, low angle first (10 to 80 degrees two-theta):
Position (°2θ), I/Imax
16.2, 58
32.6, 43
35.8, 71
37.2, 100
37.4, 96
37.9, 43



Entry 7:
The following is a computed powder X-ray diffraction pattern of Sm3MgBiRu4O14. It was derived from a PBE-relaxed structure, using Cu Kα X-rays.
Kinematic intensities with the Lorentz-polarization factor, no thermal factor.

Atomic structure:
Lattice parameters (Å, degrees): 7.4393 7.4393 7.4393 60.33 60.33 60.33
Fractional coordinates of all 23 atoms:
Sm (0.1681, 0.1681, 0.6639)
Sm (0.1681, 0.6639, 0.1681)
Sm (0.6639, 0.1681, 0.1681)
Mg (0.7906, 0.7906, 0.7906)
Bi (0.1675, 0.1675, 0.1675)
Ru (0.1932, 0.6573, 0.6573)
Ru (0.6561, 0.6561, 0.6561)
Ru (0.6573, 0.1932, 0.6573)
Ru (0.6573, 0.6573, 0.1932)
O (0.0010, 0.0010, 0.5821)
O (0.0010, 0.5821, 0.0010)
O (0.0033, 0.5783, 0.5783)
O (0.0383, 0.0383, 0.0383)
O (0.2926, 0.2926, 0.2926)
O (0.3394, 0.7430, 0.7430)
O (0.3412, 0.3412, 0.7404)
O (0.3412, 0.7404, 0.3412)
O (0.5783, 0.0033, 0.5783)
O (0.5783, 0.5783, 0.0033)
O (0.5821, 0.0010, 0.0010)
O (0.7404, 0.3412, 0.3412)
O (0.7430, 0.3394, 0.7430)
O (0.7430, 0.7430, 0.3394)

Main lines, low angle first (10 to 80 degrees two-theta):
Position (°2θ), I/Imax
29.3, 100
29.5, 33
34.0, 42
48.7, 32
49.0, 31
58.0, 28



Entry 8:
The following is a computed powder X-ray diffraction pattern of YSi3Ni. It was derived from a PBE-relaxed structure, using Cu Kα X-rays.
Kinematic intensities with the Lorentz-polarization factor, no thermal factor.

Atomic structure:
Lattice parameters (Å, degrees): 10.7058 10.7058 3.9588 90.00 90.00 158.79
Fractional coordinates of all 10 atoms:
Y (0.1690, 0.8310, 0.0000)
Y (0.8310, 0.1690, 0.0000)
Si (0.0560, 0.9440, 0.5000)
Si (0.2822, 0.7178, 0.5000)
Si (0.4440, 0.5560, 0.0000)
Si (0.5560, 0.4440, 0.0000)
Si (0.7178, 0.2822, 0.5000)
Si (0.9440, 0.0560, 0.5000)
Ni (0.3900, 0.6100, 0.5000)
Ni (0.6100, 0.3900, 0.5000)

Main lines, low angle first (10 to 80 degrees two-theta):
Position (°2θ), I/Imax
16.9, 27
34.1, 38
34.6, 100
45.1, 28
45.8, 23
46.1, 23



Entry 9:
The following is a computed powder X-ray diffraction pattern of LiGaGe. It was derived from a PBE-relaxed structure, using Cu Kα X-rays.
Kinematic intensities with the Lorentz-polarization factor, no thermal factor.

Atomic structure:
Lattice parameters (Å, degrees): 4.2313 4.2313 6.8646 90.00 90.00 120.00
Fractional coordinates of all 6 atoms:
Li (0.0000, 0.0000, 0.0000)
Li (0.0000, 0.0000, 0.5000)
Ga (0.3333, 0.6667, 0.2993)
Ga (0.6667, 0.3333, 0.7993)
Ge (0.3333, 0.6667, 0.6844)
Ge (0.6667, 0.3333, 0.1844)

Main lines, low angle first (10 to 80 degrees two-theta):
Position (°2θ), I/Imax
24.3, 92
26.0, 61
27.6, 58
42.7, 100
46.8, 84
50.7, 58